Starting from a cell relaxed with PBE, the powder X-ray diffraction pattern of TiGaNi4 was calculated for Cu Kα (λ = 1.5418 Å).
No peak broadening, texture or thermal motion is included.

Structural model:
```
data_TiGaNi4
_chemical_formula_sum 'Ti2 Ga2 Ni8'
_symmetry_space_group_name_H-M 'C 1 2/m 1'
_symmetry_Int_Tables_number 12
_cell_length_a 8.374
_cell_length_b 3.437
_cell_length_c 5.357
_cell_angle_alpha 90.00
_cell_angle_beta 109.63
_cell_angle_gamma 90.00
loop_
_symmetry_equiv_pos_as_xyz
'x,y,z'
'-x,-y,-z'
'-x,y,-z'
'x,-y,z'
'x+1/2,y+1/2,z'
'-x+1/2,-y+1/2,-z'
'-x+1/2,y+1/2,-z'
'x+1/2,-y+1/2,z'
loop_
_atom_site_label
_atom_site_type_symbol
_atom_site_fract_x
_atom_site_fract_y
_atom_site_fract_z
Ti1 Ti 0.000 0.000 0.000
Ga1 Ga 0.000 0.000 0.500
Ni1 Ni 0.164 0.500 0.333
Ni2 Ni 0.167 0.500 0.834
```

Principal peaks in the range 2θ from 5° to 70°, by angle:
Position (°2θ)	I/Imax	(hkl)
17.58	2	0 0 1
23.51	1	2 0 -1
31.39	1	1 1 -1
35.56	1	1 1 1
42.19	1	3 1 -1
42.81	100	1 1 -2
43.33	96	3 1 0
48.08	35	4 0 -2
48.96	33	2 0 2
53.31	25	0 2 0

Starting from a cell relaxed with PBE, the powder X-ray diffraction pattern of Li3Pa4Se8 was calculated for Cu Kα (λ = 1.5418 Å).
No peak broadening, texture or thermal motion is included.

Structural model:
```
data_Li3Pa4Se8
_chemical_formula_sum 'Li6 Pa8 Se16'
_symmetry_space_group_name_H-M 'C 1 2/m 1'
_symmetry_Int_Tables_number 12
_cell_length_a 11.311
_cell_length_b 11.305
_cell_length_c 8.013
_cell_angle_alpha 90.00
_cell_angle_beta 134.40
_cell_angle_gamma 90.00
loop_
_symmetry_equiv_pos_as_xyz
'x,y,z'
'-x,-y,-z'
'-x,y,-z'
'x,-y,z'
'x+1/2,y+1/2,z'
'-x+1/2,-y+1/2,-z'
'-x+1/2,y+1/2,-z'
'x+1/2,-y+1/2,z'
loop_
_atom_site_label
_atom_site_type_symbol
_atom_site_fract_x
_atom_site_fract_y
_atom_site_fract_z
Li1 Li 0.000 0.000 0.000
Li2 Li 0.250 0.250 0.000
Pa1 Pa 0.000 0.500 0.000
Pa2 Pa 0.000 0.500 0.500
Pa3 Pa 0.250 0.250 0.500
Se1 Se 0.000 0.243 0.000
Se2 Se 0.000 0.243 0.500
Se3 Se 0.234 0.000 0.488
Se4 Se 0.247 0.500 0.994
```

Principal peaks in the range 2θ from 5° to 70°, by angle:
Position (°2θ)	I/Imax	(hkl)
13.47	53	1 1 0
15.48	21	0 0 1
15.67	22	2 0 -1
22.10	20	0 2 1
31.25	52	0 0 2
31.65	100	0 4 0
45.08	38	0 4 2
45.34	56	4 0 -4
55.94	20	4 4 0
56.30	20	4 4 -4

Starting from a cell relaxed with PBE, the powder X-ray diffraction pattern of BeCd2GaO4 was calculated for Cu Kα (λ = 1.5418 Å).
No peak broadening, texture or thermal motion is included.

Structural model:
```
data_BeCd2GaO4
_chemical_formula_sum 'Be2 Cd4 Ga2 O8'
_symmetry_space_group_name_H-M 'P m n 21'
_symmetry_Int_Tables_number 31
_cell_length_a 6.215
_cell_length_b 6.221
_cell_length_c 5.268
_cell_angle_alpha 90.00
_cell_angle_beta 90.00
_cell_angle_gamma 90.00
loop_
_symmetry_equiv_pos_as_xyz
'x,y,z'
'-x+1/2,-y,z+1/2'
'-x,y,z'
'x+1/2,-y,z+1/2'
loop_
_atom_site_label
_atom_site_type_symbol
_atom_site_fract_x
_atom_site_fract_y
_atom_site_fract_z
Be1 Be 0.000 0.142 0.000
Cd1 Cd 0.248 0.651 0.012
Ga1 Ga 0.000 0.867 0.501
O1 O 0.000 0.125 0.685
O2 O 0.000 0.905 0.145
O3 O 0.234 0.275 0.082
```

Principal peaks in the range 2θ from 5° to 70°, by angle:
Position (°2θ)	I/Imax	(hkl)
22.11	57	0 1 1
28.72	35	2 0 0
32.20	78	2 1 0
33.45	100	0 2 1
34.04	67	0 0 2
36.55	92	2 1 1
47.55	38	2 1 2
53.10	35	2 3 0
62.57	27	2 1 3
64.59	33	2 3 2